Simulated powder diffraction line list
Compound: LiPa2CoO6
Radiation: copper Kα
Structure: DFT lattice parameters and positions (GGA+U)
Peak positions follow from Bragg's law for the DFT cell and can differ from measured ones.

Most intense lines, 10 to 90 degrees two-theta, sorted by position:
Position (°2θ)	d/Å	Rel. int.
18.5	4.793	64
24.7	3.604	45
31.0	2.881	100
35.2	2.549	36
40.1	2.250	40
45.4	1.996	33
50.7	1.802	20
52.4	1.746	26
60.6	1.528	31
70.4	1.338	18

Atomic structure:
a b c (Å): 5.097 5.097 4.793
angles (deg): 90.00 90.00 90.00
Space group P4mm (No. 99)
Asymmetric unit:
Li (0.000, 0.000, 0.000) [1 per cell]
Pa (0.000, 0.500, 0.438) [2 per cell]
Co (0.500, 0.500, 0.058) [1 per cell]
O (0.000, 0.000, 0.602) [1 per cell]
O (0.248, 0.248, 0.166) [4 per cell]
O (0.500, 0.500, 0.611) [1 per cell]